No. 1
Diffraction record for DyZr4O9. The X-ray diffraction stick pattern is theoretical, not measured: it uses a crystal structure in Alexandria, relaxed with GGA-PBE and Cu Kα (λ = 1.5418 Å).
Lines closer than 0.1° are merged.

The 10 most intense peaks (10 to 80 degrees two-theta), in order of rising 2θ:
- 3.044 Å, intensity 96
- 2.946 Å, intensity 100
- 2.619 Å, intensity 19
- 2.580 Å, intensity 33
- 1.870 Å, intensity 18
- 1.838 Å, intensity 67
- 1.782 Å, intensity 17
- 1.582 Å, intensity 13
- 1.579 Å, intensity 27
- 1.538 Å, intensity 24

Crystal structure
```
data_DyZr4O9
_chemical_formula_sum 'Dy2 Zr8 O18'
_space_group_name_H-M_alt 'I m m 2'
_space_group_IT_number 44
_cell_length_a 3.5632
_cell_length_b 18.6991
_cell_length_c 5.2372
_cell_angle_alpha 90.00
_cell_angle_beta 90.00
_cell_angle_gamma 90.00
loop_
_space_group_symop_operation_xyz
'x,y,z'
'-x,-y,z'
'-x,y,z'
'x,-y,z'
'x+1/2,y+1/2,z+1/2'
'-x+1/2,-y+1/2,z+1/2'
'-x+1/2,y+1/2,z+1/2'
'x+1/2,-y+1/2,z+1/2'
loop_
_atom_site_label
_atom_site_fract_x
_atom_site_fract_y
_atom_site_fract_z
_atom_site_occupancy
Dy1 0.0000 0.0000 0.0000 1
Zr1 0.0000 0.1967 0.0305 1
Zr2 0.0000 0.3920 0.0334 1
O1 0.0000 0.0945 0.2799 1
O2 0.0000 0.1055 0.7822 1
O3 0.0000 0.2975 0.2777 1
O4 0.0000 0.3003 0.7774 1
O5 0.0000 0.5000 0.1313 1
```

***

No. 2
Diffraction record for Ba2NaMg3Bi4. The X-ray diffraction stick pattern is theoretical, not measured: it uses a crystal structure in Alexandria, relaxed with GGA-PBE and Cu Kα (λ = 1.5418 Å).
Lines closer than 0.1° are merged.

The 10 most intense peaks (10 to 80 degrees two-theta), in order of rising 2θ:
- 3.946 Å, intensity 48
- 3.853 Å, intensity 24
- 3.625 Å, intensity 73
- 3.186 Å, intensity 100
- 3.136 Å, intensity 44
- 2.700 Å, intensity 77
- 2.304 Å, intensity 32
- 2.046 Å, intensity 26
- 1.909 Å, intensity 28
- 1.637 Å, intensity 29

Crystal structure
```
data_Ba2NaMg3Bi4
_chemical_formula_sum 'Ba2 Na1 Mg3 Bi4'
_space_group_name_H-M_alt 'P -4 m 2'
_space_group_IT_number 115
_cell_length_a 5.3991
_cell_length_b 5.3991
_cell_length_c 11.5601
_cell_angle_alpha 90.00
_cell_angle_beta 90.00
_cell_angle_gamma 90.00
loop_
_space_group_symop_operation_xyz
'x,y,z'
'y,-x,-z'
'-x,-y,z'
'-y,x,-z'
'-x,y,z'
'-y,-x,-z'
'x,-y,z'
'y,x,-z'
loop_
_atom_site_label
_atom_site_fract_x
_atom_site_fract_y
_atom_site_fract_z
_atom_site_occupancy
Ba1 0.0000 0.5000 0.2332 1
Na1 0.0000 0.0000 0.5000 1
Mg1 0.0000 0.5000 0.8860 1
Mg2 0.5000 0.5000 0.5000 1
Bi1 0.0000 0.0000 0.0000 1
Bi2 0.0000 0.5000 0.6361 1
Bi3 0.5000 0.5000 0.0000 1
```

***

No. 3
Diffraction record for Pm3TlRh. The X-ray diffraction stick pattern is theoretical, not measured: it uses a crystal structure in Alexandria, relaxed with GGA-PBE and Cu Kα (λ = 1.5418 Å).
Lines closer than 0.1° are merged.

The 10 most intense peaks (10 to 80 degrees two-theta), in order of rising 2θ:
- 3.718 Å, intensity 33
- 3.179 Å, intensity 63
- 3.138 Å, intensity 70
- 3.120 Å, intensity 41
- 3.086 Å, intensity 88
- 2.997 Å, intensity 100
- 2.806 Å, intensity 40
- 2.649 Å, intensity 50
- 2.341 Å, intensity 66
- 2.050 Å, intensity 33

Crystal structure
```
data_Pm3TlRh
_chemical_formula_sum 'Pm12 Tl4 Rh4'
_space_group_name_H-M_alt 'P 1 21/c 1'
_space_group_IT_number 14
_cell_length_a 9.7134
_cell_length_b 6.8847
_cell_length_c 10.0186
_cell_angle_alpha 90.00
_cell_angle_beta 114.55
_cell_angle_gamma 90.00
loop_
_space_group_symop_operation_xyz
'x,y,z'
'-x,-y,-z'
'-x,y+1/2,-z+1/2'
'x,-y+1/2,z+1/2'
loop_
_atom_site_label
_atom_site_fract_x
_atom_site_fract_y
_atom_site_fract_z
_atom_site_occupancy
Pm1 0.1038 0.0702 0.3633 1
Pm2 0.1979 0.5808 0.5489 1
Pm3 0.3803 0.0942 0.7651 1
Tl1 0.4218 0.6834 0.9235 1
Rh1 0.0828 0.2325 0.6121 1
```

***

No. 4
Diffraction record for HgPb2IO6. The X-ray diffraction stick pattern is theoretical, not measured: it uses a crystal structure in Alexandria, relaxed with GGA-PBE and Cu Kα (λ = 1.5418 Å).
Lines closer than 0.1° are merged.

The 10 most intense peaks (10 to 80 degrees two-theta), in order of rising 2θ:
- 3.109 Å, intensity 100
- 2.958 Å, intensity 81
- 2.597 Å, intensity 11
- 2.143 Å, intensity 42
- 1.795 Å, intensity 24
- 1.765 Å, intensity 40
- 1.681 Å, intensity 12
- 1.555 Å, intensity 15
- 1.376 Å, intensity 17
- 1.336 Å, intensity 12

Crystal structure
```
data_HgPb2IO6
_chemical_formula_sum 'Hg3 Pb6 I3 O18'
_space_group_name_H-M_alt 'R -3'
_space_group_IT_number 148
_space_group_name_Hall '-R 3'
_cell_length_a 6.2188
_cell_length_b 6.2188
_cell_length_c 14.1585
_cell_angle_alpha 90.00
_cell_angle_beta 90.00
_cell_angle_gamma 120.00
loop_
_atom_site_label
_atom_site_fract_x
_atom_site_fract_y
_atom_site_fract_z
_atom_site_occupancy
Hg1 0.0000 0.0000 0.0000 1
Pb1 0.0000 0.0000 0.2664 1
I1 0.0000 0.0000 0.5000 1
O1 0.0532 0.4462 0.2521 1
```